Theoretical powder diffraction line list of TbPmMgGe for Cu Kα, 1.54184 Å, from a structure optimized by DFT (GGA-PBE).
No peak broadening, texture or thermal motion is included.

Most intense lines, 2θ from 10° to 90°, sorted by position:
two_theta, Rel. int.
24.2, 31
34.5, 100
42.6, 9
49.6, 18
55.9, 13
61.8, 37
72.7, 11
77.9, 6
83.0, 16
88.1, 4

Unit cell a=5.2022 b=5.2022 c=5.2022 alpha=60.00 beta=60.00 gamma=60.00
Fractional positions:
Tb 0.0000 0.0000 0.0000
Pm 0.5000 0.5000 0.5000
Mg 0.2500 0.2500 0.2500
Ge 0.7500 0.7500 0.7500